(1)
The following is a theoretical powder diffraction line list of Y7Ni3. It was derived from the GGA-PBE geometry in Alexandria, using Cu Kα (λ = 1.5418 Å).
Lines closer than 0.1° are merged.

a = 9.7030 Å, b = 9.7030 Å, c = 6.2171 Å
α = 90.00°, β = 90.00°, γ = 120.00°
Atoms (fractional coordinates):
Y (0.0820, 0.5410, 0.0000)
Y (0.1260, 0.2520, 0.6785)
Y (0.1260, 0.8740, 0.6785)
Y (0.2520, 0.1260, 0.1785)
Y (0.3333, 0.6667, 0.4805)
Y (0.4590, 0.5410, 0.0000)
Y (0.4590, 0.9180, 0.0000)
Y (0.5410, 0.0820, 0.5000)
Y (0.5410, 0.4590, 0.5000)
Y (0.6667, 0.3333, 0.9805)
Y (0.7480, 0.8740, 0.6785)
Y (0.8740, 0.1260, 0.1785)
Y (0.8740, 0.7480, 0.1785)
Y (0.9180, 0.4590, 0.5000)
Ni (0.1896, 0.3791, 0.2557)
Ni (0.1896, 0.8104, 0.2557)
Ni (0.3791, 0.1896, 0.7557)
Ni (0.6209, 0.8104, 0.2557)
Ni (0.8104, 0.1896, 0.7557)
Ni (0.8104, 0.6209, 0.7557)

Largest 10 diffraction maxima, by angle, 5° ≤ 2θ ≤ 70°:
| d (Å) | I_rel |
| --- | --- |
| 2.915 | 39 |
| 2.828 | 100 |
| 2.801 | 17 |
| 2.554 | 47 |
| 2.499 | 41 |
| 2.426 | 36 |
| 1.666 | 23 |
| 1.638 | 19 |
| 1.622 | 21 |
| 1.617 | 16 |

---

(2)
The following is a theoretical powder diffraction line list of MgTlGe. It was derived from the GGA-PBE geometry in Alexandria, using Cu Kα (λ = 1.5418 Å).
Lines closer than 0.1° are merged.

a = 3.2676 Å, b = 3.9187 Å, c = 11.1302 Å
α = 90.00°, β = 90.00°, γ = 90.00°
Atoms (fractional coordinates):
Mg (0.0000, 0.0000, 0.0000)
Mg (0.0000, 0.0000, 0.2760)
Tl (0.0000, 0.0000, 0.6852)
Tl (0.5000, 0.5000, 0.4582)
Ge (0.5000, 0.5000, 0.1373)
Ge (0.5000, 0.5000, 0.8842)

Largest 10 diffraction maxima, by angle, 5° ≤ 2θ ≤ 70°:
| d (Å) | I_rel |
| --- | --- |
| 11.130 | 100 |
| 3.699 | 38 |
| 3.204 | 65 |
| 2.818 | 46 |
| 2.783 | 24 |
| 2.694 | 63 |
| 2.510 | 82 |
| 2.451 | 62 |
| 1.864 | 30 |
| 1.531 | 23 |

---

(3)
The following is a theoretical powder diffraction line list of PmSm3Y3S8. It was derived from the GGA-PBE geometry in Alexandria, using Cu Kα (λ = 1.5418 Å).
Lines closer than 0.1° are merged.

a = 7.9330 Å, b = 7.9330 Å, c = 7.9330 Å
α = 59.79°, β = 59.79°, γ = 59.79°
Atoms (fractional coordinates):
Pm (0.0000, 0.0000, 0.0000)
Sm (0.0000, 0.0000, 0.5000)
Sm (0.0000, 0.5000, 0.0000)
Sm (0.5000, 0.0000, 0.0000)
Y (0.0000, 0.5000, 0.5000)
Y (0.5000, 0.0000, 0.5000)
Y (0.5000, 0.5000, 0.0000)
S (0.2527, 0.2527, 0.2527)
S (0.2535, 0.2535, 0.7409)
S (0.2535, 0.7409, 0.2535)
S (0.2591, 0.7465, 0.7465)
S (0.7409, 0.2535, 0.2535)
S (0.7465, 0.2591, 0.7465)
S (0.7465, 0.7465, 0.2591)
S (0.7473, 0.7473, 0.7473)

Largest 10 diffraction maxima, by angle, 5° ≤ 2θ ≤ 70°:
| d (Å) | I_rel |
| --- | --- |
| 6.460 | 22 |
| 3.379 | 17 |
| 3.244 | 13 |
| 3.230 | 40 |
| 2.800 | 100 |
| 1.983 | 36 |
| 1.977 | 35 |
| 1.688 | 20 |
| 1.615 | 18 |
| 1.400 | 11 |

---

(4)
The following is a theoretical powder diffraction line list of Pr2Ho12Er5. It was derived from the GGA-PBE geometry in Alexandria, using Cu Kα (λ = 1.5418 Å).
Lines closer than 0.1° are merged.

a = 6.0781 Å, b = 8.8046 Å, c = 11.5965 Å
α = 91.54°, β = 103.46°, γ = 95.55°
Atoms (fractional coordinates):
Pr (0.2142, 0.4733, 0.4204)
Pr (0.7858, 0.5267, 0.5796)
Ho (0.0104, 0.7382, 0.2098)
Ho (0.0980, 0.3734, 0.1089)
Ho (0.2525, 0.1017, 0.3165)
Ho (0.3440, 0.9469, 0.8334)
Ho (0.3481, 0.5747, 0.7367)
Ho (0.4156, 0.2087, 0.6331)
Ho (0.5844, 0.7913, 0.3669)
Ho (0.6519, 0.4253, 0.2633)
Ho (0.6560, 0.0531, 0.1666)
Ho (0.7475, 0.8983, 0.6835)
Ho (0.9020, 0.6266, 0.8911)
Ho (0.9896, 0.2618, 0.7902)
Er (0.0000, 0.0000, 0.0000)
Er (0.1650, 0.8450, 0.5255)
Er (0.4520, 0.6880, 0.0498)
Er (0.5480, 0.3120, 0.9502)
Er (0.8350, 0.1550, 0.4745)

Largest 10 diffraction maxima, by angle, 5° ≤ 2θ ≤ 70°:
| d (Å) | I_rel |
| --- | --- |
| 3.024 | 32 |
| 2.946 | 13 |
| 2.860 | 72 |
| 2.805 | 57 |
| 2.788 | 55 |
| 2.778 | 24 |
| 2.678 | 100 |
| 2.569 | 20 |
| 1.817 | 19 |
| 1.535 | 15 |

---

(5)
The following is a theoretical powder diffraction line list of Pm6Pb3N2. It was derived from the GGA-PBE geometry in Alexandria, using Cu Kα (λ = 1.5418 Å).
Lines closer than 0.1° are merged.

a = 13.4836 Å, b = 13.4836 Å, c = 13.4836 Å
α = 159.21°, β = 159.21°, γ = 29.56°
Atoms (fractional coordinates):
Pm (0.0843, 0.5843, 0.5000)
Pm (0.1919, 0.1919, 0.0000)
Pm (0.4157, 0.9157, 0.5000)
Pm (0.5843, 0.0843, 0.5000)
Pm (0.8081, 0.8081, 0.0000)
Pm (0.9157, 0.4157, 0.5000)
Pb (0.3216, 0.3216, 0.0000)
Pb (0.5000, 0.5000, 0.0000)
Pb (0.6784, 0.6784, 0.0000)
N (0.1034, 0.1034, 0.0000)
N (0.8966, 0.8966, 0.0000)

Largest 10 diffraction maxima, by angle, 5° ≤ 2θ ≤ 70°:
| d (Å) | I_rel |
| --- | --- |
| 4.782 | 15 |
| 3.326 | 31 |
| 3.042 | 15 |
| 2.697 | 100 |
| 2.432 | 51 |
| 1.779 | 14 |
| 1.720 | 18 |
| 1.620 | 13 |
| 1.473 | 12 |
| 1.450 | 31 |

---

(6)
The following is a theoretical powder diffraction line list of La4Pu6O19. It was derived from the GGA-PBE geometry in Alexandria, using Cu Kα (λ = 1.5418 Å).
Lines closer than 0.1° are merged.

a = 8.5537 Å, b = 8.5537 Å, c = 8.5537 Å
α = 109.47°, β = 109.47°, γ = 109.47°
Atoms (fractional coordinates):
La (0.0000, 0.0000, 0.7070)
La (0.0000, 0.7070, 0.0000)
La (0.2930, 0.2930, 0.2930)
La (0.7070, 0.0000, 0.0000)
Pu (0.1724, 0.6724, 0.5000)
Pu (0.3276, 0.5000, 0.8276)
Pu (0.5000, 0.1724, 0.6724)
Pu (0.5000, 0.8276, 0.3276)
Pu (0.6724, 0.5000, 0.1724)
Pu (0.8276, 0.3276, 0.5000)
O (0.0000, 0.0000, 0.0000)
O (0.0000, 0.3580, 0.3580)
O (0.0000, 0.6420, 0.6420)
O (0.0274, 0.2681, 0.6712)
O (0.2407, 0.9726, 0.6437)
O (0.2681, 0.6712, 0.0274)
O (0.3288, 0.5970, 0.3563)
O (0.3563, 0.3288, 0.5970)
O (0.3580, 0.0000, 0.3580)
O (0.3580, 0.3580, 0.0000)
O (0.4030, 0.7319, 0.7593)
O (0.5970, 0.3563, 0.3288)
O (0.6420, 0.0000, 0.6420)
O (0.6420, 0.6420, 0.0000)
O (0.6437, 0.2407, 0.9726)
O (0.6712, 0.0274, 0.2681)
O (0.7319, 0.7593, 0.4030)
O (0.7593, 0.4030, 0.7319)
O (0.9726, 0.6437, 0.2407)

Largest 10 diffraction maxima, by angle, 5° ≤ 2θ ≤ 70°:
| d (Å) | I_rel |
| --- | --- |
| 6.984 | 28 |
| 4.938 | 24 |
| 4.032 | 33 |
| 3.123 | 100 |
| 2.851 | 20 |
| 2.640 | 75 |
| 2.016 | 20 |
| 1.937 | 46 |
| 1.646 | 25 |
| 1.602 | 24 |